Entry 1:
Diffraction record for LiVPO5. The powder diffractogram is simulated, not measured: it uses a cell relaxed with PBE+U and CuKα.
Intensities are scaled so that the largest is 100.

Most intense lines, 2θ = 10–80°, sorted by position:
2theta	d [Å]	Rel. int.
18.0	4.931	25
19.1	4.657	44
21.8	4.082	22
23.8	3.736	20
26.8	3.331	21
27.3	3.272	83
27.5	3.243	100
27.7	3.216	73
56.8	1.622	33
58.2	1.586	20

Structure:
Cell lengths 7.367, 7.367, 10.573 Å; angles 112.92, 112.92, 42.03 degrees
Fractional coordinates of all 32 atoms:
Li 0.000 0.000 0.000
Li 0.000 0.000 0.500
Li 0.000 0.500 0.000
Li 0.500 0.000 0.500
V 0.000 0.500 0.500
V 0.022 0.978 0.750
V 0.500 0.000 0.000
V 0.978 0.022 0.250
P 0.361 0.391 0.311
P 0.391 0.361 0.811
P 0.609 0.639 0.189
P 0.639 0.609 0.689
O 0.075 0.179 0.411
O 0.179 0.075 0.911
O 0.183 0.704 0.337
O 0.218 0.672 0.847
O 0.293 0.300 0.156
O 0.296 0.817 0.163
O 0.298 0.339 0.410
O 0.300 0.293 0.656
O 0.328 0.782 0.653
O 0.339 0.298 0.910
O 0.661 0.702 0.090
O 0.672 0.218 0.347
O 0.700 0.707 0.344
O 0.702 0.661 0.590
O 0.704 0.183 0.837
O 0.707 0.700 0.844
O 0.782 0.328 0.153
O 0.817 0.296 0.663
O 0.821 0.925 0.089
O 0.925 0.821 0.589

=====

Entry 2:
Diffraction record for K8Li9Fe4O16. The powder diffractogram is simulated, not measured: it uses a cell relaxed with PBE+U and CuKα.
Intensities are scaled so that the largest is 100.

Most intense lines, 2θ = 10–80°, sorted by position:
2theta	d [Å]	Rel. int.
17.1	5.190	74
19.4	4.570	85
21.6	4.114	45
21.8	4.080	59
33.6	2.665	60
34.0	2.635	55
34.3	2.617	100
34.5	2.599	85
34.6	2.592	77
34.9	2.570	42

Structure:
Cell lengths 5.568, 9.142, 10.492 Å; angles 88.75, 81.32, 89.88 degrees
Fractional coordinates of all 37 atoms:
K 0.000 0.000 0.000
K 0.007 0.248 0.479
K 0.190 0.515 0.232
K 0.261 0.798 0.729
K 0.470 0.245 0.975
K 0.526 0.516 0.499
K 0.714 0.780 0.229
K 0.734 0.024 0.708
Li 0.085 0.025 0.281
Li 0.200 0.532 0.916
Li 0.287 0.759 0.058
Li 0.433 0.269 0.659
Li 0.639 0.008 0.426
Li 0.768 0.493 0.060
Li 0.780 0.776 0.549
Li 0.949 0.550 0.660
Li 0.952 0.261 0.160
Fe 0.013 0.311 0.804
Fe 0.187 0.802 0.416
Fe 0.538 0.233 0.293
Fe 0.692 0.715 0.906
O 0.030 0.626 0.481
O 0.165 0.137 0.774
O 0.213 0.464 0.736
O 0.214 0.820 0.235
O 0.247 0.217 0.229
O 0.484 0.583 0.000
O 0.484 0.814 0.477
O 0.502 0.213 0.475
O 0.514 0.881 0.935
O 0.698 0.409 0.234
O 0.762 0.322 0.712
O 0.766 0.085 0.234
O 0.786 0.729 0.732
O 0.960 0.950 0.470
O 0.969 0.684 0.984
O 0.995 0.336 0.980

=====

Entry 3:
Diffraction record for Li2VCrP4O14. The powder diffractogram is simulated, not measured: it uses a cell relaxed with PBE+U and CuKα.
Intensities are scaled so that the largest is 100.

Most intense lines, 2θ = 10–80°, sorted by position:
2theta	d [Å]	Rel. int.
17.1	5.173	100
22.1	4.023	21
22.4	3.970	48
25.5	3.497	18
26.8	3.325	24
29.0	3.083	31
29.3	3.045	58
29.7	3.011	28
34.7	2.586	17
43.3	2.091	14

Structure:
Cell lengths 7.151, 8.221, 9.742 Å; angles 90.00, 111.46, 90.00 degrees
Fractional coordinates of all 44 atoms:
Li 0.176 0.000 0.250
Li 0.177 0.000 0.750
Li 0.823 0.500 0.250
Li 0.824 0.500 0.750
V 0.229 0.363 0.257
V 0.771 0.863 0.743
Cr 0.228 0.363 0.757
Cr 0.772 0.863 0.243
P 0.022 0.683 0.061
P 0.023 0.682 0.561
P 0.414 0.578 0.564
P 0.414 0.580 0.063
P 0.586 0.078 0.436
P 0.586 0.080 0.937
P 0.977 0.182 0.439
P 0.978 0.183 0.939
O 0.005 0.519 0.129
O 0.010 0.517 0.630
O 0.018 0.324 0.352
O 0.019 0.326 0.852
O 0.106 0.185 0.104
O 0.107 0.183 0.604
O 0.253 0.711 0.079
O 0.254 0.711 0.579
O 0.351 0.539 0.401
O 0.355 0.540 0.900
O 0.384 0.165 0.377
O 0.385 0.170 0.876
O 0.416 0.428 0.658
O 0.420 0.430 0.158
O 0.580 0.930 0.842
O 0.584 0.928 0.342
O 0.615 0.670 0.124
O 0.616 0.665 0.623
O 0.645 0.040 0.100
O 0.649 0.039 0.599
O 0.746 0.211 0.421
O 0.747 0.211 0.921
O 0.893 0.683 0.396
O 0.894 0.685 0.896
O 0.981 0.826 0.148
O 0.982 0.824 0.648
O 0.990 0.017 0.370
O 0.995 0.019 0.871

=====

Entry 4:
Diffraction record for InFe2O4. The powder diffractogram is simulated, not measured: it uses a cell relaxed with PBE+U and CuKα.
Intensities are scaled so that the largest is 100.

Most intense lines, 2θ = 10–80°, sorted by position:
2theta	d [Å]	Rel. int.
10.2	8.692	27
20.4	4.346	32
30.5	2.928	100
30.9	2.897	63
33.4	2.685	98
35.0	2.565	81
46.5	1.953	51
53.9	1.701	65
58.6	1.574	42
63.4	1.467	44

Structure:
Cell lengths 8.911, 8.911, 8.911 Å; angles 22.01, 22.01, 22.01 degrees
Fractional coordinates of all 7 atoms:
In 0.000 0.000 0.000
Fe 0.215 0.215 0.215
Fe 0.785 0.785 0.785
O 0.129 0.129 0.129
O 0.292 0.292 0.292
O 0.708 0.708 0.708
O 0.871 0.871 0.871

=====

Entry 5:
Diffraction record for CrOF. The powder diffractogram is simulated, not measured: it uses a cell relaxed with PBE+U and CuKα.
Intensities are scaled so that the largest is 100.

Most intense lines, 2θ = 10–80°, sorted by position:
2theta	d [Å]	Rel. int.
11.5	7.700	61
14.4	6.144	100
23.1	3.850	61
24.3	3.664	57
25.1	3.546	64
29.1	3.072	65
35.6	2.523	67
37.2	2.415	66
39.8	2.263	63
50.7	1.800	47

Structure:
Cell lengths 7.746, 3.063, 11.849 Å; angles 90.00, 96.29, 90.00 degrees
Fractional coordinates of all 24 atoms:
Cr 0.114 0.250 0.422
Cr 0.286 0.750 0.216
Cr 0.332 0.250 0.985
Cr 0.356 0.750 0.638
Cr 0.644 0.250 0.362
Cr 0.668 0.750 0.015
Cr 0.714 0.250 0.784
Cr 0.886 0.750 0.578
O 0.107 0.750 0.318
O 0.128 0.750 0.542
O 0.398 0.250 0.296
O 0.438 0.750 0.078
O 0.562 0.250 0.922
O 0.602 0.750 0.704
O 0.872 0.250 0.458
O 0.893 0.250 0.682
F 0.166 0.250 0.109
F 0.218 0.750 0.901
F 0.304 0.250 0.731
F 0.396 0.250 0.537
F 0.604 0.750 0.463
F 0.696 0.750 0.269
F 0.782 0.250 0.099
F 0.834 0.750 0.891

=====

Entry 6:
Diffraction record for Na4Al3FeSi8O24. The powder diffractogram is simulated, not measured: it uses a cell relaxed with PBE+U and CuKα.
Intensities are scaled so that the largest is 100.

Most intense lines, 2θ = 10–80°, sorted by position:
2theta	d [Å]	Rel. int.
20.4	4.360	21
30.1	2.972	100
31.0	2.881	63
35.5	2.529	59
36.6	2.456	35
41.1	2.194	17
43.0	2.105	21
57.6	1.601	19
61.7	1.503	17
67.7	1.384	18

Structure:
Cell lengths 5.310, 8.718, 9.457 Å; angles 90.00, 104.61, 90.00 degrees
Fractional coordinates of all 40 atoms:
Na 0.000 0.000 0.000
Na 0.000 0.099 0.500
Na 0.500 0.499 0.500
Na 0.500 0.599 0.000
Al 0.000 0.395 0.000
Al 0.500 0.203 0.000
Al 0.500 0.898 0.500
Fe 0.000 0.703 0.500
Si 0.189 0.707 0.208
Si 0.190 0.388 0.713
Si 0.312 0.206 0.290
Si 0.314 0.894 0.792
Si 0.686 0.894 0.208
Si 0.688 0.206 0.710
Si 0.810 0.388 0.287
Si 0.811 0.707 0.792
O 0.095 0.306 0.352
O 0.095 0.793 0.851
O 0.180 0.538 0.137
O 0.191 0.558 0.645
O 0.232 0.224 0.110
O 0.241 0.882 0.611
O 0.268 0.373 0.893
O 0.282 0.725 0.388
O 0.316 0.039 0.362
O 0.319 0.061 0.864
O 0.404 0.806 0.145
O 0.405 0.291 0.648
O 0.595 0.291 0.352
O 0.596 0.806 0.855
O 0.681 0.061 0.136
O 0.684 0.039 0.638
O 0.718 0.725 0.612
O 0.732 0.373 0.107
O 0.759 0.882 0.389
O 0.768 0.224 0.890
O 0.809 0.558 0.355
O 0.820 0.538 0.863
O 0.905 0.306 0.648
O 0.905 0.793 0.149

=====

Entry 7:
Diffraction record for RbMgMn4O8. The powder diffractogram is simulated, not measured: it uses a cell relaxed with PBE+U and CuKα.
Intensities are scaled so that the largest is 100.

Most intense lines, 2θ = 10–80°, sorted by position:
2theta	d [Å]	Rel. int.
23.7	3.749	76
24.1	3.688	49
26.7	3.344	85
27.0	3.307	98
34.4	2.608	75
34.6	2.596	80
38.6	2.335	100
45.9	1.979	86
55.2	1.664	53
64.5	1.445	47

Structure:
Cell lengths 7.539, 7.539, 10.499 Å; angles 133.22, 133.22, 23.91 degrees
Fractional coordinates of all 14 atoms:
Rb 0.000 0.000 0.000
Mg 0.000 0.000 0.500
Mn 0.153 0.153 0.839
Mn 0.333 0.333 0.495
Mn 0.667 0.667 0.505
Mn 0.847 0.847 0.161
O 0.036 0.036 0.351
O 0.288 0.288 0.631
O 0.336 0.336 0.030
O 0.366 0.366 0.341
O 0.634 0.634 0.659
O 0.664 0.664 0.970
O 0.712 0.712 0.369
O 0.964 0.964 0.649

=====

Entry 8:
Diffraction record for Li4V3CoCu2P6O24. The powder diffractogram is simulated, not measured: it uses a cell relaxed with PBE+U and CuKα.
Intensities are scaled so that the largest is 100.

Most intense lines, 2θ = 10–80°, sorted by position:
2theta	d [Å]	Rel. int.
20.1	4.427	95
23.8	3.732	100
24.0	3.715	19
24.8	3.596	19
31.1	2.871	19
32.8	2.729	68
32.9	2.719	32
35.1	2.558	38
35.2	2.553	19
48.8	1.868	20

Structure:
Cell lengths 8.582, 8.604, 8.622 Å; angles 61.88, 61.84, 62.11 degrees
Fractional coordinates of all 40 atoms:
Li 0.000 0.000 0.000
Li 0.134 0.903 0.489
Li 0.438 0.372 0.188
Li 0.628 0.807 0.565
V 0.138 0.508 0.702
V 0.431 0.796 0.988
V 0.922 0.293 0.487
Co 0.634 0.005 0.190
Cu 0.281 0.630 0.857
Cu 0.769 0.167 0.341
P 0.035 0.697 0.303
P 0.232 0.203 0.094
P 0.322 0.105 0.593
P 0.535 0.602 0.394
P 0.741 0.403 0.883
P 0.834 0.901 0.795
O 0.029 0.748 0.766
O 0.044 0.204 0.261
O 0.096 0.679 0.454
O 0.168 0.118 0.539
O 0.194 0.718 0.106
O 0.205 0.393 0.936
O 0.269 0.269 0.652
O 0.273 0.040 0.037
O 0.356 0.912 0.750
O 0.366 0.590 0.580
O 0.386 0.183 0.151
O 0.480 0.639 0.230
O 0.514 0.095 0.432
O 0.543 0.556 0.909
O 0.592 0.757 0.372
O 0.673 0.840 0.836
O 0.691 0.410 0.414
O 0.728 0.244 0.075
O 0.777 0.338 0.729
O 0.812 0.962 0.947
O 0.853 0.053 0.599
O 0.874 0.886 0.279
O 0.891 0.477 0.840
O 0.987 0.529 0.348

=====

Please write out number 2 again, unchanged.
Diffraction record for K8Li9Fe4O16. The powder diffractogram is simulated, not measured: it uses a cell relaxed with PBE+U and CuKα.
Intensities are scaled so that the largest is 100.

Most intense lines, 2θ = 10–80°, sorted by position:
2theta	d [Å]	Rel. int.
17.1	5.190	74
19.4	4.570	85
21.6	4.114	45
21.8	4.080	59
33.6	2.665	60
34.0	2.635	55
34.3	2.617	100
34.5	2.599	85
34.6	2.592	77
34.9	2.570	42

Structure:
Cell lengths 5.568, 9.142, 10.492 Å; angles 88.75, 81.32, 89.88 degrees
Fractional coordinates of all 37 atoms:
K 0.000 0.000 0.000
K 0.007 0.248 0.479
K 0.190 0.515 0.232
K 0.261 0.798 0.729
K 0.470 0.245 0.975
K 0.526 0.516 0.499
K 0.714 0.780 0.229
K 0.734 0.024 0.708
Li 0.085 0.025 0.281
Li 0.200 0.532 0.916
Li 0.287 0.759 0.058
Li 0.433 0.269 0.659
Li 0.639 0.008 0.426
Li 0.768 0.493 0.060
Li 0.780 0.776 0.549
Li 0.949 0.550 0.660
Li 0.952 0.261 0.160
Fe 0.013 0.311 0.804
Fe 0.187 0.802 0.416
Fe 0.538 0.233 0.293
Fe 0.692 0.715 0.906
O 0.030 0.626 0.481
O 0.165 0.137 0.774
O 0.213 0.464 0.736
O 0.214 0.820 0.235
O 0.247 0.217 0.229
O 0.484 0.583 0.000
O 0.484 0.814 0.477
O 0.502 0.213 0.475
O 0.514 0.881 0.935
O 0.698 0.409 0.234
O 0.762 0.322 0.712
O 0.766 0.085 0.234
O 0.786 0.729 0.732
O 0.960 0.950 0.470
O 0.969 0.684 0.984
O 0.995 0.336 0.980

=====

Question: Which formula does entry 7 have?
Answer: RbMgMn4O8